Structure and calculated XRD peak list of HfTiZnMo (a cell relaxed with GGA-PBE; Cu Kα (weighted mean of Kα1 and Kα2)).
Lines closer than 0.1° are merged.

Atomic structure:
a = 3.309 Å, b = 3.309 Å, c = 6.300 Å
α = 90.00°, β = 90.00°, γ = 90.00°
Positions (direct):
1 Hf 0.000 0.000 0.000
2 Ti 0.000 0.000 0.525
3 Zn 0.500 0.500 0.280
4 Mo 0.500 0.500 0.746

Peak list (12 most intense, 15 to 90 degrees two-theta, by angle)
2θ = 30.52°, rel. 28, hkl 1 0 1; 2θ = 38.48°, rel. 55, hkl 1 1 0; 2θ = 39.50°, rel. 100, hkl 1 0 2; 2θ = 41.16°, rel. 9, hkl 1 1 1; 2θ = 55.55°, rel. 19, hkl 2 0 0; 2θ = 58.61°, rel. 7, hkl 0 0 4; 2θ = 59.11°, rel. 7, hkl 1 1 3; 2θ = 64.71°, rel. 7, hkl 2 1 1; 2θ = 70.29°, rel. 35, hkl 2 1 2; 2θ = 72.32°, rel. 15, hkl 1 1 4; 2θ = 82.45°, rel. 6, hkl 2 2 0; 2θ = 85.03°, rel. 10, hkl 2 0 4